Entry 1:
Simulated X-ray diffraction stick pattern
Compound: YMg14CO16
Radiation: copper Kα
Structure: DFT lattice parameters and positions (GGA-PBE)
Lines closer than 0.1° are merged.

Most intense lines, 2θ = 15–90°, in order of rising 2θ:
- 2θ = 20.50°, I = 6, (2 0 0)
- 2θ = 22.96°, I = 26, (2 1 0)
- 2θ = 30.96°, I = 24, (3 0 0)
- 2θ = 35.90°, I = 23, (2 2 1)
- 2θ = 37.39°, I = 6, (3 0 1)
- 2θ = 41.63°, I = 100, (4 0 0)
- 2θ = 41.84°, I = 51, (0 0 2)
- 2θ = 60.33°, I = 27, (4 4 0)
- 2θ = 60.49°, I = 57, (4 0 2)
- 2θ = 61.41°, I = 7, (5 2 1)
- 2θ = 72.24°, I = 8, (6 2 1)
- 2θ = 76.11°, I = 25, (4 4 2)

Atomic structure:
```
32
Lattice="8.6783 0.0000 0.0000 0.0000 8.6783 0.0000 0.0000 0.0000 4.3186" Properties=species:S:1:pos:R:3 pbc="T T T"
Y 0.0000 0.0000 0.0000
Mg 0.0000 2.3035 2.1593
Mg 0.0000 4.3391 0.0000
Mg 0.0000 6.3748 2.1593
Mg 2.2358 4.3391 2.1593
Mg 2.2835 2.2835 0.0000
Mg 2.2835 6.3948 0.0000
Mg 2.3035 0.0000 2.1593
Mg 4.3391 0.0000 0.0000
Mg 4.3391 2.2358 2.1593
Mg 4.3391 6.4424 2.1593
Mg 6.3748 0.0000 2.1593
Mg 6.3948 2.2835 0.0000
Mg 6.3948 6.3948 0.0000
Mg 6.4424 4.3391 2.1593
C 4.3391 4.3391 0.0000
O 0.0000 0.0000 2.1593
O 0.0000 2.2347 0.0000
O 0.0000 4.3391 2.1593
O 0.0000 6.4436 0.0000
O 2.0281 4.3391 0.0000
O 2.1676 2.1676 2.1593
O 2.1676 6.5107 2.1593
O 2.2347 0.0000 0.0000
O 4.3391 0.0000 2.1593
O 4.3391 2.0281 0.0000
O 4.3391 4.3391 2.1593
O 4.3391 6.6502 0.0000
O 6.4436 0.0000 0.0000
O 6.5107 2.1676 2.1593
O 6.5107 6.5107 2.1593
O 6.6502 4.3391 0.0000
```


Entry 2:
Simulated X-ray diffraction stick pattern
Compound: PdF2
Radiation: copper Kα
Structure: DFT lattice parameters and positions (GGA-PBE)
Lines closer than 0.1° are merged.

Most intense lines, 2θ = 15–90°, in order of rising 2θ:
- 2θ = 25.47°, I = 100, (1 1 0)
- 2θ = 31.37°, I = 82, (1 0 1)
- 2θ = 36.34°, I = 26, (2 0 0)
- 2θ = 48.74°, I = 72, (2 1 1)
- 2θ = 52.31°, I = 18, (2 2 0)
- 2θ = 52.44°, I = 11, (0 0 2)
- 2θ = 59.06°, I = 14, (3 1 0)
- 2θ = 59.17°, I = 18, (1 1 2)
- 2θ = 62.28°, I = 23, (3 0 1)
- 2θ = 74.28°, I = 11, (3 2 1)
- 2θ = 82.89°, I = 11, (3 1 2)
- 2θ = 85.61°, I = 11, (4 1 1)

Atomic structure:
```
6
Lattice="4.9465 0.0000 0.0000 0.0000 4.9465 0.0000 0.0000 0.0000 3.4899" Properties=species:S:1:pos:R:3 pbc="T T T"
Pd 0.0000 0.0000 0.0000
Pd 2.4732 2.4732 1.7449
F 0.9666 0.9666 1.7449
F 1.5067 3.4398 0.0000
F 3.4398 1.5067 0.0000
F 3.9799 3.9799 1.7449
```


Entry 3:
Simulated X-ray diffraction stick pattern
Compound: CrFeAs2
Radiation: copper Kα
Structure: DFT lattice parameters and positions (GGA-PBE)
Lines closer than 0.1° are merged.

Most intense lines, 2θ = 15–90°, in order of rising 2θ:
- 2θ = 33.68°, I = 50, (0 1 2)
- 2θ = 33.97°, I = 100, (1 1 1)
- 2θ = 42.08°, I = 17, (1 2 0)
- 2θ = 42.85°, I = 40, (1 1 2)
- 2θ = 44.51°, I = 33, (0 2 2)
- 2θ = 44.75°, I = 76, (1 2 1)
- 2θ = 52.22°, I = 40, (1 0 3)
- 2θ = 52.35°, I = 20, (0 3 1)
- 2θ = 52.84°, I = 30, (2 0 0)
- 2θ = 64.14°, I = 15, (2 1 2)
- 2θ = 71.51°, I = 15, (2 2 2)
- 2θ = 88.21°, I = 19, (1 3 4)

Atomic structure:
```
8
Lattice="3.4653 0.0000 0.0000 0.0000 5.4727 0.0000 0.0000 0.0000 6.0912" Properties=species:S:1:pos:R:3 pbc="T T T"
Cr 0.0000 1.3370 0.0000
Cr 1.7327 4.1357 3.0456
Fe 0.0000 4.0896 5.4425
Fe 1.7327 1.3830 2.3969
As 0.0000 0.3131 3.7730
As 0.0000 2.9981 1.7031
As 1.7327 2.4746 4.7487
As 1.7327 5.1596 0.7274
```


Entry 4:
Simulated X-ray diffraction stick pattern
Compound: Li4IO3
Radiation: copper Kα
Structure: DFT lattice parameters and positions (GGA-PBE)
Lines closer than 0.1° are merged.

Most intense lines, 2θ = 15–90°, in order of rising 2θ:
- 2θ = 17.30°, I = 49, (0 2 0)
- 2θ = 18.24°, I = 100, (1 1 0)
- 2θ = 22.93°, I = 49, (0 1 1)
- 2θ = 26.70°, I = 89, (1 0 1)
- 2θ = 31.99°, I = 53, (1 2 1)
- 2θ = 32.40°, I = 23, (2 0 0)
- 2θ = 33.85°, I = 18, (0 3 1)
- 2θ = 36.95°, I = 18, (2 2 0)
- 2θ = 40.06°, I = 32, (2 1 1)
- 2θ = 44.57°, I = 31, (1 4 1)
- 2θ = 47.26°, I = 28, (1 5 0)
- 2θ = 48.44°, I = 16, (2 4 0)

Atomic structure:
```
16
Lattice="5.5272 0.0000 0.0000 0.0000 10.2498 0.0000 0.0000 0.0000 4.1902" Properties=species:S:1:pos:R:3 pbc="T T T"
Li 0.2055 1.0534 0.6570
Li 0.2055 4.0715 0.6570
Li 2.5581 1.0534 0.6570
Li 2.5581 4.0715 0.6570
Li 2.9691 6.1783 3.5332
Li 2.9691 9.1964 3.5332
Li 5.3217 6.1783 3.5332
Li 5.3217 9.1964 3.5332
I 1.3818 7.6873 1.0233
I 4.1454 2.5624 3.1669
O 1.3818 2.5624 0.7902
O 1.3818 5.6046 0.5483
O 1.3818 9.7700 0.5483
O 4.1454 0.4798 3.6419
O 4.1454 4.6451 3.6419
O 4.1454 7.6873 3.3999
```